Starting from a structure optimized by DFT (PBE), the X-ray diffraction stick pattern of SmRu2O8 was calculated for CuKα.

Structural model:
Cell lengths 6.807, 6.807, 6.807 Å; angles 60.00, 60.00, 60.00 degrees
Sites, in units of the cell vectors:
1 Sm 0.000 0.000 0.000
2 Ru 0.250 0.250 0.250
3 Ru 0.750 0.750 0.750
4 O 0.144 0.144 0.144
5 O 0.144 0.144 0.567
6 O 0.144 0.567 0.144
7 O 0.433 0.856 0.856
8 O 0.567 0.144 0.144
9 O 0.856 0.433 0.856
10 O 0.856 0.856 0.433
11 O 0.856 0.856 0.856

Most intense lines, 2θ from 10° to 90°, in order of rising 2θ:
15.95°, d 5.558, I 55
26.18°, d 3.403, I 100
40.86°, d 2.208, I 21
46.20°, d 1.965, I 39
53.88°, d 1.702, I 20
73.64°, d 1.286, I 21